For Li9Mn7O16, a structure optimized by DFT (GGA+U) gives the calculated PXRD pattern in this record (λ = 1.5418 Å (Cu Kα)).
Neutral-atom scattering factors, no anomalous dispersion.

Structural model:
a = 5.081 Å, b = 5.993 Å, c = 10.231 Å
α = 92.11°, β = 101.51°, γ = 102.95°
Positions (direct):
Li1 0.000 0.000 0.000
Li2 0.000 0.000 0.500
Li3 0.000 0.500 0.000
Li4 0.001 0.762 0.754
Li5 0.489 0.370 0.122
Li6 0.498 0.125 0.372
Li7 0.502 0.875 0.628
Li8 0.511 0.630 0.878
Li9 0.999 0.238 0.246
Mn1 0.000 0.500 0.500
Mn2 0.006 0.763 0.244
Mn3 0.495 0.111 0.879
Mn4 0.495 0.371 0.627
Mn5 0.505 0.629 0.373
Mn6 0.505 0.889 0.121
Mn7 0.994 0.237 0.756
O1 0.246 0.062 0.702
O2 0.247 0.319 0.447
O3 0.249 0.551 0.676
O4 0.251 0.303 0.925
O5 0.255 0.805 0.422
O6 0.271 0.057 0.181
O7 0.276 0.602 0.185
O8 0.285 0.840 0.941
O9 0.715 0.160 0.059
O10 0.724 0.398 0.815
O11 0.729 0.943 0.819
O12 0.745 0.195 0.578
O13 0.749 0.697 0.075
O14 0.751 0.449 0.324
O15 0.753 0.681 0.553
O16 0.754 0.938 0.298

Largest 6 diffraction maxima, by angle, 10° ≤ 2θ ≤ 90°:
| h k l | two_theta | d (Å) | I/Imax |
| --- | --- | --- | --- |
| 0 1 1 | 18.29 | 4.851 | 100 |
| 1 1 -3 | 34.01 | 2.636 | 17 |
| -2 1 1 | 36.17 | 2.483 | 12 |
| 1 2 -2 | 40.87 | 2.208 | 33 |
| 1 0 4 | 44.22 | 2.048 | 53 |
| 2 2 2 | 61.78 | 1.502 | 16 |

For Li3V2O4F4, a structure optimized by DFT (GGA+U) gives the calculated PXRD pattern in this record (λ = 1.5418 Å (Cu Kα)).
Neutral-atom scattering factors, no anomalous dispersion.

Structural model:
a = 4.951 Å, b = 7.341 Å, c = 7.700 Å
α = 101.85°, β = 90.03°, γ = 90.08°
Positions (direct):
Li1 0.000 0.000 0.000
Li2 0.009 0.534 0.025
Li3 0.479 0.892 0.536
Li4 0.498 0.217 0.262
Li5 0.511 0.683 0.233
Li6 0.982 0.326 0.715
V1 0.010 0.535 0.468
V2 0.472 0.189 0.795
V3 0.509 0.684 0.787
V4 0.970 0.028 0.463
O1 0.118 0.314 0.454
O2 0.186 0.064 0.664
O3 0.297 0.663 0.589
O4 0.349 0.409 0.815
O5 0.613 0.906 0.803
O6 0.687 0.152 0.588
O7 0.795 0.556 0.663
O8 0.847 0.808 0.440
F1 0.177 0.561 0.243
F2 0.191 0.753 0.939
F3 0.311 0.949 0.329
F4 0.331 0.157 0.024
F5 0.676 0.657 0.012
F6 0.696 0.464 0.312
F7 0.817 0.269 0.923
F8 0.832 0.062 0.234

Largest 6 diffraction maxima, by angle, 10° ≤ 2θ ≤ 90°:
| h k l | two_theta | d (Å) | I/Imax |
| --- | --- | --- | --- |
| 0 0 1 | 11.74 | 7.536 | 70 |
| 1 0 1 | 21.48 | 4.138 | 100 |
| 0 2 -1 | 25.18 | 3.537 | 48 |
| 1 0 2 | 29.80 | 2.998 | 47 |
| 1 1 -3 | 39.90 | 2.259 | 28 |
| 2 0 3 | 51.87 | 1.763 | 27 |

For CuMo2O7, a structure optimized by DFT (GGA+U) gives the calculated PXRD pattern in this record (λ = 1.5418 Å (Cu Kα)).
Neutral-atom scattering factors, no anomalous dispersion.

Structural model:
a = 11.638 Å, b = 9.249 Å, c = 10.629 Å
α = 90.00°, β = 92.99°, γ = 90.00°
Positions (direct):
Cu1 0.000 0.068 0.250
Cu2 0.000 0.932 0.750
Cu3 0.306 0.433 0.912
Cu4 0.306 0.567 0.412
Cu5 0.694 0.433 0.588
Cu6 0.694 0.567 0.088
Mo1 0.031 0.206 0.540
Mo2 0.031 0.794 0.040
Mo3 0.332 0.252 0.620
Mo4 0.332 0.748 0.120
Mo5 0.341 0.293 0.208
Mo6 0.341 0.707 0.708
Mo7 0.659 0.293 0.292
Mo8 0.659 0.707 0.792
Mo9 0.668 0.252 0.880
Mo10 0.668 0.748 0.380
Mo11 0.969 0.206 0.960
Mo12 0.969 0.794 0.460
O1 0.003 0.373 0.602
O2 0.003 0.627 0.102
O3 0.014 0.212 0.124
O4 0.014 0.788 0.624
O5 0.047 0.071 0.876
O6 0.047 0.929 0.376
O7 0.191 0.163 0.563
O8 0.191 0.837 0.063
O9 0.259 0.429 0.285
O10 0.259 0.571 0.785
O11 0.303 0.127 0.267
O12 0.303 0.873 0.767
O13 0.306 0.290 0.041
O14 0.306 0.710 0.541
O15 0.334 0.290 0.786
O16 0.334 0.710 0.286
O17 0.348 0.417 0.533
O18 0.348 0.583 0.033
O19 0.445 0.141 0.590
O20 0.445 0.859 0.090
O21 0.500 0.330 0.250
O22 0.500 0.670 0.750
O23 0.555 0.141 0.910
O24 0.555 0.859 0.410
O25 0.652 0.417 0.967
O26 0.652 0.583 0.467
O27 0.666 0.290 0.714
O28 0.666 0.710 0.214
O29 0.694 0.290 0.459
O30 0.694 0.710 0.959
O31 0.697 0.127 0.233
O32 0.697 0.873 0.733
O33 0.741 0.429 0.215
O34 0.741 0.571 0.715
O35 0.809 0.163 0.937
O36 0.809 0.837 0.437
O37 0.953 0.071 0.624
O38 0.953 0.929 0.124
O39 0.986 0.212 0.376
O40 0.986 0.788 0.876
O41 0.997 0.373 0.898
O42 0.997 0.627 0.398

Largest 6 diffraction maxima, by angle, 10° ≤ 2θ ≤ 90°:
| h k l | two_theta | d (Å) | I/Imax |
| --- | --- | --- | --- |
| 1 1 0 | 12.23 | 7.237 | 49 |
| 1 0 -2 | 18.02 | 4.923 | 61 |
| 0 2 0 | 19.19 | 4.624 | 41 |
| 3 0 0 | 22.96 | 3.874 | 100 |
| 1 2 -2 | 26.44 | 3.372 | 75 |
| 0 1 3 | 26.98 | 3.305 | 54 |

For FePH5CO4, a structure optimized by DFT (GGA+U) gives the calculated PXRD pattern in this record (λ = 1.5418 Å (Cu Kα)).
Neutral-atom scattering factors, no anomalous dispersion.

Structural model:
a = 4.844 Å, b = 5.800 Å, c = 18.021 Å
α = 89.89°, β = 89.64°, γ = 89.52°
Positions (direct):
Fe1 0.000 0.000 0.000
Fe2 0.002 0.003 0.500
Fe3 0.501 0.504 0.525
Fe4 0.503 0.503 0.024
P1 0.436 0.004 0.607
P2 0.439 0.005 0.106
P3 0.938 0.499 0.917
P4 0.939 0.503 0.417
H1 0.135 0.002 0.713
H2 0.140 0.003 0.212
H3 0.414 0.139 0.914
H4 0.417 0.866 0.914
H5 0.425 0.866 0.412
H6 0.426 0.137 0.412
H7 0.448 0.155 0.731
H8 0.449 0.847 0.731
H9 0.452 0.155 0.230
H10 0.453 0.847 0.230
H11 0.637 0.504 0.812
H12 0.638 0.503 0.312
H13 0.919 0.639 0.112
H14 0.923 0.637 0.613
H15 0.924 0.367 0.612
H16 0.931 0.369 0.112
H17 0.949 0.657 0.793
H18 0.950 0.656 0.293
H19 0.951 0.349 0.793
H20 0.952 0.348 0.293
C1 0.360 0.001 0.705
C2 0.365 0.002 0.204
C3 0.862 0.503 0.820
C4 0.863 0.502 0.320
O1 0.251 0.501 0.428
O2 0.251 0.502 0.927
O3 0.290 0.219 0.572
O4 0.291 0.796 0.069
O5 0.292 0.790 0.571
O6 0.294 0.002 0.912
O7 0.297 0.225 0.072
O8 0.304 0.003 0.408
O9 0.749 0.001 0.596
O10 0.752 0.001 0.094
O11 0.789 0.711 0.955
O12 0.792 0.717 0.453
O13 0.794 0.288 0.453
O14 0.797 0.283 0.952
O15 0.802 0.503 0.616
O16 0.803 0.501 0.117

Largest 6 diffraction maxima, by angle, 10° ≤ 2θ ≤ 90°:
| h k l | two_theta | d (Å) | I/Imax |
| --- | --- | --- | --- |
| 0 1 -2 | 18.19 | 4.877 | 64 |
| 1 1 -2 | 25.94 | 3.435 | 62 |
| 0 2 0 | 30.84 | 2.900 | 86 |
| 1 1 4 | 31.02 | 2.883 | 53 |
| 1 -1 4 | 31.21 | 2.866 | 100 |
| 1 -1 6 | 38.56 | 2.335 | 61 |

For Li4Ni3SnO8, a structure optimized by DFT (GGA+U) gives the calculated PXRD pattern in this record (λ = 1.5418 Å (Cu Kα)).
Neutral-atom scattering factors, no anomalous dispersion.

Structural model:
a = 5.951 Å, b = 5.963 Å, c = 5.976 Å
α = 119.79°, β = 119.81°, γ = 90.11°
Positions (direct):
Li1 0.000 0.000 0.000
Li2 0.000 0.000 0.500
Li3 0.500 0.000 0.000
Li4 0.500 0.000 0.500
Ni1 0.000 0.500 0.000
Ni2 0.000 0.500 0.500
Ni3 0.500 0.500 0.000
Sn1 0.500 0.500 0.500
O1 0.234 0.705 0.966
O2 0.248 0.741 0.498
O3 0.253 0.257 0.503
O4 0.254 0.265 0.008
O5 0.746 0.735 0.992
O6 0.747 0.743 0.497
O7 0.752 0.259 0.502
O8 0.766 0.295 0.034

Largest 6 diffraction maxima, by angle, 10° ≤ 2θ ≤ 90°:
| h k l | two_theta | d (Å) | I/Imax |
| --- | --- | --- | --- |
| 0 1 0 | 18.17 | 4.883 | 100 |
| 2 -1 0 | 35.31 | 2.542 | 18 |
| 0 2 0 | 36.86 | 2.439 | 28 |
| 0 0 2 | 42.57 | 2.124 | 22 |
| 2 2 -2 | 42.94 | 2.106 | 44 |
| 2 -2 2 | 62.04 | 1.496 | 19 |

For Mg3Ta6Fe4O24, a structure optimized by DFT (GGA+U) gives the calculated PXRD pattern in this record (λ = 1.5418 Å (Cu Kα)).
Neutral-atom scattering factors, no anomalous dispersion.

Structural model:
a = 7.038 Å, b = 8.261 Å, c = 10.245 Å
α = 106.25°, β = 103.21°, γ = 102.58°
Positions (direct):
Mg1 0.000 0.000 0.000
Mg2 0.277 0.778 0.293
Mg3 0.723 0.222 0.707
Ta1 0.105 0.587 0.830
Ta2 0.222 0.173 0.773
Ta3 0.407 0.231 0.379
Ta4 0.593 0.769 0.621
Ta5 0.778 0.827 0.227
Ta6 0.895 0.413 0.170
Fe1 0.044 0.708 0.513
Fe2 0.379 0.453 0.108
Fe3 0.621 0.547 0.892
Fe4 0.956 0.292 0.487
O1 0.018 0.259 0.682
O2 0.072 0.563 0.637
O3 0.124 0.815 0.919
O4 0.140 0.529 0.147
O5 0.161 0.941 0.666
O6 0.214 0.198 0.962
O7 0.232 0.293 0.480
O8 0.272 0.000 0.258
O9 0.336 0.523 0.922
O10 0.341 0.753 0.489
O11 0.438 0.365 0.262
O12 0.486 0.277 0.773
O13 0.514 0.723 0.227
O14 0.562 0.635 0.738
O15 0.659 0.247 0.511
O16 0.664 0.477 0.078
O17 0.728 0.000 0.742
O18 0.768 0.707 0.520
O19 0.786 0.802 0.038
O20 0.839 0.059 0.334
O21 0.860 0.471 0.853
O22 0.876 0.185 0.081
O23 0.928 0.437 0.363
O24 0.982 0.741 0.318

Largest 6 diffraction maxima, by angle, 10° ≤ 2θ ≤ 90°:
| h k l | two_theta | d (Å) | I/Imax |
| --- | --- | --- | --- |
| 1 1 -2 | 21.58 | 4.117 | 66 |
| 1 -2 0 | 23.36 | 3.808 | 61 |
| 2 0 -1 | 25.96 | 3.432 | 95 |
| 0 1 -3 | 26.88 | 3.317 | 100 |
| 1 -2 2 | 27.59 | 3.233 | 58 |
| 0 2 1 | 28.36 | 3.147 | 93 |

For CrH10SO9, a structure optimized by DFT (GGA+U) gives the calculated PXRD pattern in this record (λ = 1.5418 Å (Cu Kα)).
Neutral-atom scattering factors, no anomalous dispersion.

Structural model:
a = 5.891 Å, b = 7.268 Å, c = 12.396 Å
α = 75.51°, β = 85.85°, γ = 82.76°
Positions (direct):
Cr1 0.000 0.000 0.000
Cr2 0.000 0.500 0.500
H1 0.068 0.361 0.708
H2 0.173 0.785 0.490
H3 0.244 0.261 0.635
H4 0.253 0.716 0.964
H5 0.326 0.699 0.090
H6 0.340 0.091 0.460
H7 0.342 0.043 0.266
H8 0.395 0.293 0.399
H9 0.420 0.524 0.824
H10 0.439 0.327 0.790
H11 0.561 0.673 0.210
H12 0.580 0.476 0.176
H13 0.605 0.707 0.601
H14 0.658 0.957 0.734
H15 0.660 0.909 0.540
H16 0.674 0.301 0.910
H17 0.747 0.284 0.036
H18 0.756 0.739 0.365
H19 0.827 0.215 0.510
H20 0.932 0.639 0.292
S1 0.297 0.960 0.771
S2 0.703 0.040 0.229
O1 0.015 0.756 0.512
O2 0.164 0.072 0.850
O3 0.179 0.388 0.645
O4 0.193 0.745 0.036
O5 0.251 0.499 0.423
O6 0.292 0.751 0.822
O7 0.438 0.996 0.208
O8 0.452 0.154 0.406
O9 0.461 0.384 0.851
O10 0.539 0.616 0.149
O11 0.548 0.846 0.594
O12 0.562 0.004 0.792
O13 0.708 0.249 0.178
O14 0.749 0.501 0.577
O15 0.807 0.255 0.964
O16 0.821 0.612 0.355
O17 0.836 0.928 0.150
O18 0.985 0.244 0.488

Largest 6 diffraction maxima, by angle, 10° ≤ 2θ ≤ 90°:
| h k l | two_theta | d (Å) | I/Imax |
| --- | --- | --- | --- |
| 0 1 1 | 13.01 | 6.805 | 58 |
| 0 1 -1 | 16.15 | 5.487 | 39 |
| 1 0 -1 | 17.17 | 5.164 | 29 |
| 1 1 1 | 18.66 | 4.754 | 100 |
| 1 0 2 | 20.78 | 4.274 | 63 |
| 0 1 -2 | 21.72 | 4.091 | 27 |

For Ta2Fe4O9, a structure optimized by DFT (GGA+U) gives the calculated PXRD pattern in this record (λ = 1.5418 Å (Cu Kα)).
Neutral-atom scattering factors, no anomalous dispersion.

Structural model:
a = 5.335 Å, b = 5.335 Å, c = 14.245 Å
α = 90.00°, β = 90.00°, γ = 120.00°
Positions (direct):
Ta1 0.000 0.000 0.142
Ta2 0.000 0.000 0.358
Ta3 0.000 0.000 0.642
Ta4 0.000 0.000 0.858
Fe1 0.333 0.667 0.016
Fe2 0.333 0.667 0.308
Fe3 0.333 0.667 0.516
Fe4 0.333 0.667 0.808
Fe5 0.667 0.333 0.192
Fe6 0.667 0.333 0.484
Fe7 0.667 0.333 0.692
Fe8 0.667 0.333 0.984
O1 0.000 0.280 0.250
O2 0.000 0.720 0.750
O3 0.024 0.336 0.916
O4 0.024 0.688 0.416
O5 0.280 0.000 0.250
O6 0.280 0.280 0.750
O7 0.312 0.336 0.416
O8 0.312 0.976 0.916
O9 0.336 0.024 0.584
O10 0.336 0.312 0.084
O11 0.664 0.688 0.916
O12 0.664 0.976 0.416
O13 0.688 0.024 0.084
O14 0.688 0.664 0.584
O15 0.720 0.000 0.750
O16 0.720 0.720 0.250
O17 0.976 0.312 0.584
O18 0.976 0.664 0.084

Largest 6 diffraction maxima, by angle, 10° ≤ 2θ ≤ 90°:
| h k l | two_theta | d (Å) | I/Imax |
| --- | --- | --- | --- |
| 1 0 0 | 19.21 | 4.620 | 66 |
| 1 0 4 | 31.72 | 2.821 | 100 |
| 1 1 0 | 33.60 | 2.668 | 73 |
| 0 2 4 | 46.88 | 1.938 | 38 |
| 1 1 6 | 51.53 | 1.773 | 31 |
| 2 1 4 | 58.90 | 1.568 | 37 |